This entry pairs a crystal structure of Sm4MgCo with its simulated powder XRD pattern. Radiation: Cu Kα X-rays. Structure: a cell relaxed with PBE.

Peak list (10 most intense, 2θ from 15° to 90°, low angle first)
(0 2 2), 27.1°, I 18
(2 0 0), 29.8°, I 43
(1 0 5), 32.1°, I 65
(1 2 3), 33.6°, I 100
(2 2 2), 40.8°, I 43
(0 4 0), 50.4°, I 16
(3 0 5), 54.3°, I 18
(3 2 3), 55.3°, I 18
(1 4 5), 61.0°, I 19
(4 0 0), 61.9°, I 33

Crystal structure
```
data_Sm4MgCo
_cell_length_a 5.9933
_cell_length_b 7.2427
_cell_length_c 15.7798
_cell_angle_alpha 90.00
_cell_angle_beta 90.00
_cell_angle_gamma 90.00
_symmetry_space_group_name_H-M 'I m m m'
_symmetry_Int_Tables_number 71
_symmetry_space_group_name_Hall '-I 2 2'
loop_
_atom_site_label
_atom_site_type_symbol
_atom_site_fract_x
_atom_site_fract_y
_atom_site_fract_z
Sm1 Sm 0.0000 0.0000 0.1825
Sm2 Sm 0.0000 0.2515 0.3842
Sm3 Sm 0.0000 0.2730 0.0000
Mg1 Mg 0.0000 0.5000 0.1949
Co1 Co 0.2103 0.5000 0.5000
```

---

This entry pairs a crystal structure of Sm5MgCo with its simulated powder XRD pattern. Radiation: Cu Kα X-rays. Structure: a cell relaxed with PBE.

Peak list (10 most intense, 2θ from 15° to 90°, low angle first)
(0 2 0), 21.2°, I 36
(3 1 -1), 23.9°, I 36
(3 1 -2), 24.6°, I 72
(1 1 2), 27.6°, I 100
(0 2 2), 29.2°, I 33
(1 3 0), 33.2°, I 69
(4 0 0), 33.6°, I 53
(3 1 -4), 36.0°, I 44
(1 3 -2), 36.5°, I 30
(2 0 4), 52.1°, I 36

Crystal structure
```
data_Sm5MgCo
_cell_length_a 12.5973
_cell_length_b 8.3770
_cell_length_c 10.5346
_cell_angle_alpha 90.00
_cell_angle_beta 122.08
_cell_angle_gamma 90.00
_symmetry_space_group_name_H-M 'C 1 2/c 1'
_symmetry_Int_Tables_number 15
loop_
_symmetry_equiv_pos_as_xyz
'x,y,z'
'-x,-y,-z'
'-x,y,-z+1/2'
'x,-y,z+1/2'
'x+1/2,y+1/2,z'
'-x+1/2,-y+1/2,-z'
'-x+1/2,y+1/2,-z+1/2'
'x+1/2,-y+1/2,z+1/2'
loop_
_atom_site_label
_atom_site_type_symbol
_atom_site_fract_x
_atom_site_fract_y
_atom_site_fract_z
Sm1 Sm 0.0000 0.0296 0.2500
Sm2 Sm 0.0432 0.3268 0.4658
Sm3 Sm 0.2368 0.0234 0.1495
Mg1 Mg 0.0000 0.3363 0.7500
Co1 Co 0.0000 0.0000 0.0000
```

---

This entry pairs a crystal structure of Sm11Mg9Co4 with its simulated powder XRD pattern. Radiation: Cu Kα X-rays. Structure: a cell relaxed with PBE.

Peak list (10 most intense, 2θ from 15° to 90°, low angle first)
(3 1 0), 18.6°, I 36
(0 0 1), 23.8°, I 58
(0 6 0), 24.1°, I 40
(4 0 0), 24.3°, I 39
(0 6 1), 34.1°, I 100
(4 0 1), 34.3°, I 100
(4 6 0), 34.5°, I 66
(3 5 1), 36.4°, I 47
(4 4 1), 38.1°, I 34
(0 0 2), 48.7°, I 28

Crystal structure
```
data_Sm11Mg9Co4
_cell_length_a 14.6320
_cell_length_b 22.1798
_cell_length_c 3.7377
_cell_angle_alpha 90.00
_cell_angle_beta 90.00
_cell_angle_gamma 90.00
_symmetry_space_group_name_H-M 'C m m m'
_symmetry_Int_Tables_number 65
_symmetry_space_group_name_Hall '-C 2 2'
loop_
_atom_site_label
_atom_site_type_symbol
_atom_site_fract_x
_atom_site_fract_y
_atom_site_fract_z
Sm1 Sm 0.0000 0.0000 0.0000
Sm2 Sm 0.0000 0.1573 0.0000
Sm3 Sm 0.0000 0.3740 0.0000
Sm4 Sm 0.1878 0.5000 0.0000
Sm5 Sm 0.2464 0.3357 0.0000
Mg1 Mg 0.0000 0.5000 0.5000
Mg2 Mg 0.1056 0.2610 0.5000
Mg3 Mg 0.1481 0.0708 0.5000
Co1 Co 0.1466 0.3998 0.5000
```

---

This entry pairs a crystal structure of SmMgCo10 with its simulated powder XRD pattern. Radiation: Cu Kα X-rays. Structure: a cell relaxed with PBE.

Peak list (10 most intense, 2θ from 15° to 90°, low angle first)
(0 1 2), 28.0°, I 18
(1 1 1), 30.9°, I 32
(0 1 3), 36.8°, I 23
(0 0 4), 42.5°, I 22
(0 2 2), 43.3°, I 30
(1 1 3), 43.4°, I 100
(1 2 0), 44.0°, I 51
(2 0 0), 45.4°, I 52
(1 2 2), 49.2°, I 27
(1 3 3), 71.7°, I 21

Crystal structure
```
data_SmMgCo10
_cell_length_a 3.9977
_cell_length_b 4.8011
_cell_length_c 8.5108
_cell_angle_alpha 90.00
_cell_angle_beta 90.00
_cell_angle_gamma 90.00
_symmetry_space_group_name_H-M 'P m m m'
_symmetry_Int_Tables_number 47
loop_
_symmetry_equiv_pos_as_xyz
'x,y,z'
'-x,-y,-z'
'-x,-y,z'
'x,y,-z'
'x,-y,-z'
'-x,y,z'
'-x,y,-z'
'x,-y,z'
loop_
_atom_site_label
_atom_site_type_symbol
_atom_site_fract_x
_atom_site_fract_y
_atom_site_fract_z
Sm1 Sm 0.0000 0.0000 0.0000
Mg1 Mg 0.0000 0.5000 0.5000
Co1 Co 0.0000 0.0000 0.3449
Co2 Co 0.0000 0.5000 0.1938
Co3 Co 0.5000 0.0000 0.5000
Co4 Co 0.5000 0.2516 0.2537
Co5 Co 0.5000 0.5000 0.0000
```

---

This entry pairs a crystal structure of Sm3MgCo with its simulated powder XRD pattern. Radiation: Cu Kα X-rays. Structure: a cell relaxed with PBE.

Peak list (10 most intense, 2θ from 15° to 90°, low angle first)
(1 1 1), 18.6°, I 74
(0 1 2), 27.2°, I 42
(1 2 0), 29.6°, I 97
(2 0 0), 30.5°, I 91
(1 -2 0), 33.1°, I 100
(0 2 2), 33.6°, I 92
(2 1 2), 33.8°, I 54
(1 0 -2), 34.7°, I 99
(-1 1 2), 35.4°, I 48
(2 -1 2), 42.0°, I 40

Crystal structure
```
data_Sm3MgCo
_cell_length_a 6.2059
_cell_length_b 6.8940
_cell_length_c 7.0971
_cell_angle_alpha 72.64
_cell_angle_beta 72.37
_cell_angle_gamma 78.10
_symmetry_space_group_name_H-M 'P 1'
_symmetry_Int_Tables_number 1
loop_
_symmetry_equiv_pos_as_xyz
'x,y,z'
loop_
_atom_site_label
_atom_site_type_symbol
_atom_site_fract_x
_atom_site_fract_y
_atom_site_fract_z
Sm1 Sm 0.0000 0.0000 0.0000
Sm2 Sm 0.0228 0.4562 0.6300
Sm3 Sm 0.0540 0.4605 0.1299
Sm4 Sm 0.4725 0.7089 0.2151
Sm5 Sm 0.5037 0.7127 0.7151
Sm6 Sm 0.5267 0.1693 0.3455
Mg1 Mg 0.0065 0.9754 0.5160
Mg2 Mg 0.5197 0.1931 0.8306
Co1 Co 0.7122 0.3986 0.9871
Co2 Co 0.8144 0.7706 0.3580
```

---

This entry pairs a crystal structure of Mg14CoSn with its simulated powder XRD pattern. Radiation: Cu Kα X-rays. Structure: a cell relaxed with PBE.

Peak list (10 most intense, 2θ from 15° to 90°, low angle first)
(1 0 0), 16.3°, I 33
(1 0 2), 24.1°, I 22
(2 0 0), 32.9°, I 28
(0 0 4), 35.8°, I 24
(2 0 2), 37.6°, I 100
(2 0 4), 49.4°, I 17
(2 2 0), 58.8°, I 17
(2 0 6), 65.5°, I 17
(2 2 4), 70.7°, I 18
(4 0 2), 71.9°, I 14

Crystal structure
```
data_Mg14CoSn
_cell_length_a 6.2856
_cell_length_b 6.2856
_cell_length_c 10.0361
_cell_angle_alpha 90.00
_cell_angle_beta 90.00
_cell_angle_gamma 120.00
_symmetry_space_group_name_H-M 'P -6 m 2'
_symmetry_Int_Tables_number 187
_symmetry_space_group_name_Hall 'P -6 2'
loop_
_atom_site_label
_atom_site_type_symbol
_atom_site_fract_x
_atom_site_fract_y
_atom_site_fract_z
Mg1 Mg 0.0000 0.0000 0.2466
Mg2 Mg 0.0111 0.5056 0.2652
Mg3 Mg 0.3279 0.1639 0.5000
Mg4 Mg 0.3352 0.1676 0.0000
Co1 Co 0.3333 0.6667 0.5000
Sn1 Sn 0.3333 0.6667 0.0000
```

---

This entry pairs a crystal structure of Sr2MgCo with its simulated powder XRD pattern. Radiation: Cu Kα X-rays. Structure: a cell relaxed with PBE.

Peak list (10 most intense, 2θ from 15° to 90°, low angle first)
(2 0 0), 15.3°, I 12
(1 1 0), 25.0°, I 16
(4 0 -1), 28.0°, I 29
(4 0 0), 30.8°, I 16
(2 0 -2), 32.0°, I 32
(1 1 1), 32.7°, I 100
(3 1 1), 42.6°, I 13
(6 0 -2), 45.0°, I 11
(7 1 -2), 57.2°, I 17
(5 1 -3), 57.5°, I 19

Crystal structure
```
data_Sr2MgCo
_cell_length_a 12.8783
_cell_length_b 3.7349
_cell_length_c 5.5862
_cell_angle_alpha 90.00
_cell_angle_beta 115.61
_cell_angle_gamma 90.00
_symmetry_space_group_name_H-M 'C 1 m 1'
_symmetry_Int_Tables_number 8
loop_
_symmetry_equiv_pos_as_xyz
'x,y,z'
'x,-y,z'
'x+1/2,y+1/2,z'
'x+1/2,-y+1/2,z'
loop_
_atom_site_label
_atom_site_type_symbol
_atom_site_fract_x
_atom_site_fract_y
_atom_site_fract_z
Sr1 Sr 0.0000 0.0000 0.0000
Sr2 Sr 0.1927 0.0000 0.6924
Mg1 Mg 0.3794 0.0000 0.3790
Co1 Co 0.2199 0.5000 0.2188
```

---

This entry pairs a crystal structure of Tb12MgCo5 with its simulated powder XRD pattern. Radiation: Cu Kα X-rays. Structure: a cell relaxed with PBE.

Peak list (10 most intense, 2θ from 15° to 90°, low angle first)
(1 0 3), 28.7°, I 33
(0 3 1), 29.4°, I 27
(3 1 0), 29.7°, I 40
(2 2 2), 32.2°, I 100
(2 1 3), 34.5°, I 61
(1 3 2), 34.8°, I 48
(2 3 1), 35.1°, I 31
(3 2 1), 35.2°, I 28
(6 0 0), 58.4°, I 24
(5 3 2), 59.7°, I 31

Crystal structure
```
data_Tb12MgCo5
_cell_length_a 9.4932
_cell_length_b 9.5714
_cell_length_c 9.8625
_cell_angle_alpha 90.00
_cell_angle_beta 90.00
_cell_angle_gamma 90.00
_symmetry_space_group_name_H-M 'I m m m'
_symmetry_Int_Tables_number 71
_symmetry_space_group_name_Hall '-I 2 2'
loop_
_atom_site_label
_atom_site_type_symbol
_atom_site_fract_x
_atom_site_fract_y
_atom_site_fract_z
Tb1 Tb 0.0000 0.1929 0.2031
Tb2 Tb 0.1932 0.5000 0.1860
Tb3 Tb 0.2066 0.3163 0.5000
Mg1 Mg 0.0000 0.0000 0.5000
Co1 Co 0.0000 0.0000 0.0000
Co2 Co 0.0000 0.3791 0.0000
Co3 Co 0.0000 0.5000 0.3875
```

---

This entry pairs a crystal structure of Tb3Mg3Co2 with its simulated powder XRD pattern. Radiation: Cu Kα X-rays. Structure: a cell relaxed with PBE.

Peak list (10 most intense, 2θ from 15° to 90°, low angle first)
(1 1 0), 20.6°, I 96
(2 0 1), 22.7°, I 37
(3 1 0), 25.9°, I 32
(4 0 -1), 26.2°, I 48
(3 1 -1), 30.1°, I 74
(3 1 1), 33.3°, I 100
(6 0 0), 33.4°, I 42
(5 1 0), 34.3°, I 74
(0 2 0), 40.2°, I 54
(1 1 -2), 41.4°, I 60

Crystal structure
```
data_Tb3Mg3Co2
_cell_length_a 16.3084
_cell_length_b 4.4813
_cell_length_c 4.9983
_cell_angle_alpha 90.00
_cell_angle_beta 99.52
_cell_angle_gamma 90.00
_symmetry_space_group_name_H-M 'C 1 2/m 1'
_symmetry_Int_Tables_number 12
loop_
_symmetry_equiv_pos_as_xyz
'x,y,z'
'-x,-y,-z'
'-x,y,-z'
'x,-y,z'
'x+1/2,y+1/2,z'
'-x+1/2,-y+1/2,-z'
'-x+1/2,y+1/2,-z'
'x+1/2,-y+1/2,z'
loop_
_atom_site_label
_atom_site_type_symbol
_atom_site_fract_x
_atom_site_fract_y
_atom_site_fract_z
Tb1 Tb 0.0000 0.0000 0.0000
Tb2 Tb 0.1715 0.0000 0.5880
Mg1 Mg 0.0000 0.5000 0.5000
Mg2 Mg 0.1374 0.5000 0.0757
Co1 Co 0.2208 0.0000 0.1042
```

---

This entry pairs a crystal structure of Tb7MgCo2 with its simulated powder XRD pattern. Radiation: Cu Kα X-rays. Structure: a cell relaxed with PBE.

Peak list (10 most intense, 2θ from 15° to 90°, low angle first)
(0 0 1), 17.8°, I 93
(2 0 1), 26.8°, I 51
(1 3 1), 28.5°, I 100
(3 1 0), 30.8°, I 63
(2 4 0), 33.3°, I 74
(1 5 0), 34.8°, I 51
(3 1 1), 35.8°, I 55
(0 0 2), 36.0°, I 77
(2 4 2), 49.8°, I 48
(3 7 1), 60.2°, I 49

Crystal structure
```
data_Tb7MgCo2
_cell_length_a 8.9268
_cell_length_b 13.4801
_cell_length_c 4.9923
_cell_angle_alpha 90.00
_cell_angle_beta 90.00
_cell_angle_gamma 90.00
_symmetry_space_group_name_H-M 'C m m m'
_symmetry_Int_Tables_number 65
_symmetry_space_group_name_Hall '-C 2 2'
loop_
_atom_site_label
_atom_site_type_symbol
_atom_site_fract_x
_atom_site_fract_y
_atom_site_fract_z
Tb1 Tb 0.0000 0.0000 0.0000
Tb2 Tb 0.0000 0.2044 0.5000
Tb3 Tb 0.1855 0.3664 0.0000
Mg1 Mg 0.0000 0.5000 0.5000
Co1 Co 0.0000 0.2035 0.0000
```

---

This entry pairs a crystal structure of Tb4MgCo2 with its simulated powder XRD pattern. Radiation: Cu Kα X-rays. Structure: a cell relaxed with PBE.

Peak list (10 most intense, 2θ from 15° to 90°, low angle first)
(1 0 -2), 25.6°, I 27
(2 0 0), 26.2°, I 46
(1 -2 0), 27.9°, I 30
(1 2 -1), 29.1°, I 46
(0 2 -2), 31.6°, I 37
(1 0 2), 31.7°, I 100
(0 2 1), 32.1°, I 38
(2 1 -2), 33.0°, I 27
(2 -2 0), 35.0°, I 30
(1 -3 0), 40.4°, I 37

Crystal structure
```
data_Tb4MgCo2
_cell_length_a 7.0460
_cell_length_b 7.0693
_cell_length_c 7.4133
_cell_angle_alpha 104.01
_cell_angle_beta 103.41
_cell_angle_gamma 93.26
_symmetry_space_group_name_H-M 'P 1'
_symmetry_Int_Tables_number 1
loop_
_symmetry_equiv_pos_as_xyz
'x,y,z'
loop_
_atom_site_label
_atom_site_type_symbol
_atom_site_fract_x
_atom_site_fract_y
_atom_site_fract_z
Tb1 Tb 0.0000 0.0000 0.0000
Tb2 Tb 0.0077 0.5705 0.6635
Tb3 Tb 0.4649 0.7462 0.3172
Tb4 Tb 0.5116 0.0667 0.7914
Tb5 Tb 0.5463 0.5655 0.7545
Tb6 Tb 0.6298 0.2252 0.3135
Tb7 Tb 0.8965 0.5563 0.1300
Tb8 Tb 0.9894 0.0088 0.5098
Mg1 Mg 0.2160 0.3296 0.3710
Mg2 Mg 0.2475 0.3876 0.9643
Co1 Co 0.3305 0.7895 0.9648
Co2 Co 0.6745 0.8790 0.0996
Co3 Co 0.7481 0.8332 0.6482
Co4 Co 0.8398 0.2713 0.7689
```

---

This entry pairs a crystal structure of Tb12MgCo6 with its simulated powder XRD pattern. Radiation: Cu Kα X-rays. Structure: a cell relaxed with PBE.

Peak list (10 most intense, 2θ from 15° to 90°, low angle first)
(3 0 1), 29.0°, I 49
(2 2 2), 31.8°, I 50
(3 1 2), 34.5°, I 100
(4 0 0), 36.9°, I 18
(5 0 1), 47.6°, I 24
(5 3 0), 55.0°, I 40
(5 2 3), 58.4°, I 38
(5 3 4), 68.1°, I 19
(8 2 2), 84.4°, I 16
(7 0 5), 85.8°, I 20

Crystal structure
```
data_Tb12MgCo6
_cell_length_a 9.7391
_cell_length_b 9.7391
_cell_length_c 9.7391
_cell_angle_alpha 90.00
_cell_angle_beta 90.00
_cell_angle_gamma 90.00
_symmetry_space_group_name_H-M 'I m -3'
_symmetry_Int_Tables_number 204
_symmetry_space_group_name_Hall '-I 2 2 3'
loop_
_atom_site_label
_atom_site_type_symbol
_atom_site_fract_x
_atom_site_fract_y
_atom_site_fract_z
Tb1 Tb 0.0000 0.3057 0.1947
Mg1 Mg 0.0000 0.0000 0.0000
Co1 Co 0.0000 0.1127 0.5000
```

---

This entry pairs a crystal structure of Mg2Co2Tc with its simulated powder XRD pattern. Radiation: Cu Kα X-rays. Structure: a cell relaxed with PBE.

Peak list (10 most intense, 2θ from 15° to 90°, low angle first)
(0 0 1), 21.3°, I 100
(1 1 1), 30.0°, I 14
(2 0 1), 36.8°, I 51
(2 1 1), 39.9°, I 81
(2 2 0), 42.5°, I 15
(0 0 2), 43.4°, I 38
(3 1 0), 47.8°, I 52
(3 1 1), 52.9°, I 44
(3 1 2), 66.5°, I 37
(5 1 1), 85.5°, I 15

Crystal structure
```
data_Mg2Co2Tc
_cell_length_a 6.0202
_cell_length_b 6.0202
_cell_length_c 4.1687
_cell_angle_alpha 90.00
_cell_angle_beta 90.00
_cell_angle_gamma 90.00
_symmetry_space_group_name_H-M 'P 4/m b m'
_symmetry_Int_Tables_number 127
_symmetry_space_group_name_Hall '-P 4 2ab'
loop_
_atom_site_label
_atom_site_type_symbol
_atom_site_fract_x
_atom_site_fract_y
_atom_site_fract_z
Mg1 Mg 0.1781 0.3219 0.0000
Co1 Co 0.1285 0.6285 0.5000
Tc1 Tc 0.0000 0.0000 0.5000
```